[1]
Structure and theoretical powder X-ray diffraction pattern of Sr3LiZn3 (a structure optimized by DFT (PBE); copper Kα).

Cell: 4.7826 11.7310 14.8062 Å, 90.00 90.00 90.00°
Space group Cmcm (No. 63)
Unique sites:
Sr  0.0000  0.0100  0.2500 x4
Sr  0.0000  0.2785  0.6063 x8
Li  0.0000  0.0000  0.0000 x4
Zn  0.0000  0.3146  0.2500 x4
Zn  0.0000  0.4364  0.0863 x8

Most intense lines, 5° ≤ 2θ ≤ 70°, sorted by position:
23.4°, I = 54; 27.1°, I = 75; 29.5°, I = 39; 30.1°, I = 45; 31.5°, I = 47; 34.8°, I = 100; 35.6°, I = 70; 36.4°, I = 66; 37.6°, I = 61; 52.8°, I = 63

[2]
Structure and theoretical powder X-ray diffraction pattern of Sr2Li5Zn4 (a structure optimized by DFT (PBE); copper Kα).

Cell: 13.5561 5.6998 8.5095 Å, 90.00 127.50 90.00°
Space group C2/m (No. 12)
Unique sites:
Sr  0.2199  0.0000  0.2817 x4
Li  0.0000  0.5000  0.0000 x2
Li  0.0447  0.2536  0.7469 x8
Zn  0.1191  0.0000  0.5638 x4
Zn  0.2285  0.5000  0.0593 x4

Most intense lines, 5° ≤ 2θ ≤ 70°, sorted by position:
16.5°, I = 100; 17.6°, I = 31; 24.9°, I = 45; 27.6°, I = 69; 31.4°, I = 59; 35.7°, I = 38; 36.7°, I = 81; 38.3°, I = 29; 38.9°, I = 51; 54.3°, I = 25

[3]
Structure and theoretical powder X-ray diffraction pattern of Sr2Li2Zn15 (a structure optimized by DFT (PBE); copper Kα).

Cell: 9.2585 9.2585 13.3654 Å, 90.00 90.00 120.00°
Space group R-3m (No. 166, hexagonal axes)
Unique sites:
Sr  0.0000  0.0000  0.1583 x6
Li  0.0000  0.0000  0.4017 x6
Zn  0.0000  0.2891  0.5000 x18
Zn  0.0000  0.5000  0.0000 x9
Zn  0.9997  0.4998  0.3450 x18

Most intense lines, 5° ≤ 2θ ≤ 70°, sorted by position:
19.2°, I = 30; 27.8°, I = 17; 33.5°, I = 14; 35.0°, I = 15; 38.9°, I = 43; 39.3°, I = 100; 40.5°, I = 51; 44.1°, I = 56; 57.4°, I = 22; 63.8°, I = 14

[4]
Structure and theoretical powder X-ray diffraction pattern of Sr3LiZr (a structure optimized by DFT (PBE); copper Kα).

Cell: 5.9808 5.9808 5.9808 Å, 90.00 90.00 90.00°
Space group Pm-3m (No. 221)
Unique sites:
Sr  0.0000  0.0000  0.5000 x3
Li  0.0000  0.0000  0.0000 x1
Zr  0.5000  0.5000  0.5000 x1

Most intense lines, 5° ≤ 2θ ≤ 70°, sorted by position:
25.8°, I = 100; 29.9°, I = 55; 42.8°, I = 40; 50.6°, I = 46; 53.0°, I = 14; 62.1°, I = 7; 68.4°, I = 19